# TbDy3Th
Theoretical X-ray powder pattern, Cu Kα (weighted mean of Kα1 and Kα2). Input: a DFT-relaxed cell (GGA-PBE, Alexandria).

Cell and atoms:
```
data_TbDy3Th
_chemical_formula_sum 'Tb4 Dy12 Th4'
_symmetry_space_group_name_H-M 'C m m m'
_symmetry_Int_Tables_number 65
_symmetry_space_group_name_Hall '-C 2 2'
_cell_length_a 5.3058
_cell_length_b 11.2456
_cell_length_c 10.9704
_cell_angle_alpha 90.00
_cell_angle_beta 90.00
_cell_angle_gamma 90.00
loop_
_atom_site_label
_atom_site_fract_x
_atom_site_fract_y
_atom_site_fract_z
Tb1 0.0000 0.1534 0.0000
Dy1 0.0000 0.1518 0.3035
Dy2 0.0000 0.5000 0.1714
Th1 0.0000 0.3645 0.5000
```

Most intense lines, 2θ = 5–70°, by angle:
hkl  Position (°2θ)  d [Å]  Rel. int.
0 0 1  8.1  10.970  141
1 3 0  29.2  3.063  498
1 3 1  30.3  2.949  331
1 1 3  30.7  2.909  1000
0 4 0  31.8  2.811  134
1 3 2  33.5  2.673  342
2 0 0  33.8  2.653  473
1 3 3  38.3  2.347  364
3 1 3  58.5  1.577  275
1 7 3  65.9  1.417  218